No. 1
Computed XRD peak list of CuRh2Se4 for copper Kα, from a structure optimized by DFT (PBE).
Lines closer than 0.1° are merged.

Peak list (8 most intense, 5 to 70 degrees two-theta, by angle)
14.75°, 6.006 Å, rel. 34, hkl 1 1 1
24.20°, 3.678 Å, rel. 12, hkl 2 2 0
28.46°, 3.136 Å, rel. 60, hkl 3 1 1
34.49°, 2.601 Å, rel. 86, hkl 4 0 0
45.30°, 2.002 Å, rel. 39, hkl 5 1 1
49.57°, 1.839 Å, rel. 100, hkl 4 4 0
61.79°, 1.501 Å, rel. 19, hkl 4 4 4
69.40°, 1.354 Å, rel. 12, hkl 5 5 3

Cell and atoms:
abc: 10.402 10.402 10.402
angles: 90.00 90.00 90.00
Space group Fd-3m (No. 227, origin choice 2)
Unique sites:
Cu  0.125  0.125  0.125 [8 per cell]
Rh  0.000  0.000  0.500 [16 per cell]
Se  0.009  0.009  0.741 [32 per cell]

No. 2
Computed XRD peak list of CuSiRh2 for copper Kα, from a structure optimized by DFT (PBE).
Lines closer than 0.1° are merged.

Peak list (7 most intense, 5 to 70 degrees two-theta, by angle)
26.13°, 3.411 Å, rel. 4, hkl 1 1 1
30.26°, 2.954 Å, rel. 18, hkl 2 0 0
43.32°, 2.089 Å, rel. 100, hkl 2 2 0
51.29°, 1.781 Å, rel. 2, hkl 3 1 1
53.75°, 1.705 Å, rel. 5, hkl 2 2 2
62.93°, 1.477 Å, rel. 16, hkl 4 0 0
69.33°, 1.355 Å, rel. 1, hkl 3 3 1

Cell and atoms:
```
data_CuSiRh2
_cell_length_a 5.908
_cell_length_b 5.908
_cell_length_c 5.908
_cell_angle_alpha 90.00
_cell_angle_beta 90.00
_cell_angle_gamma 90.00
_symmetry_space_group_name_H-M 'F m -3 m'
_symmetry_Int_Tables_number 225
_symmetry_space_group_name_Hall '-F 4 2 3'
loop_
_atom_site_label
_atom_site_type_symbol
_atom_site_fract_x
_atom_site_fract_y
_atom_site_fract_z
Cu1 Cu 0.000 0.000 0.000
Si1 Si 0.000 0.000 0.500
Rh1 Rh 0.250 0.250 0.250
```